[1]
Theoretical powder XRD pattern of CoNi5 for Cu Kα (weighted mean of Kα1 and Kα2), from a cell relaxed with GGA-PBE.
Kinematic intensities with the Lorentz-polarization factor, no thermal factor.

Top 10 peaks for 10 to 90 degrees two-theta, most intense first:
1.953 Å, intensity 1000; 1.919 Å, intensity 914; 2.106 Å, intensity 742; 2.293 Å, intensity 288; 1.192 Å, intensity 272; 1.147 Å, intensity 245; 1.285 Å, intensity 234; 1.248 Å, intensity 205; 1.753 Å, intensity 193; 1.862 Å, intensity 192

Structure:
Unit cell a=4.587 b=4.587 c=7.450 alpha=90.00 beta=90.00 gamma=120.00
Element x y z (fractional)
Co1 0.000 0.000 0.000
Co2 0.000 0.000 0.500
Ni1 0.170 0.341 0.250
Ni2 0.170 0.830 0.250
Ni3 0.333 0.667 0.564
Ni4 0.333 0.667 0.936
Ni5 0.341 0.170 0.750
Ni6 0.659 0.830 0.250
Ni7 0.667 0.333 0.064
Ni8 0.667 0.333 0.436
Ni9 0.830 0.170 0.750
Ni10 0.830 0.659 0.750

[2]
Theoretical powder XRD pattern of DyAlPdPt for Cu Kα (weighted mean of Kα1 and Kα2), from a cell relaxed with GGA-PBE.
Kinematic intensities with the Lorentz-polarization factor, no thermal factor.

Top 10 peaks for 10 to 90 degrees two-theta, most intense first:
2.376 Å, intensity 1000; 2.177 Å, intensity 580; 3.771 Å, intensity 438; 1.605 Å, intensity 300; 1.292 Å, intensity 291; 1.252 Å, intensity 157; 1.257 Å, intensity 99; 1.418 Å, intensity 81; 3.488 Å, intensity 69; 1.885 Å, intensity 66

Structure:
Unit cell a=4.354 b=4.354 c=9.178 alpha=90.00 beta=90.00 gamma=120.00
Element x y z (fractional)
Dy1 0.333 0.667 0.000
Dy2 0.667 0.333 0.500
Al1 0.000 0.000 0.260
Al2 0.000 0.000 0.760
Pd1 0.333 0.667 0.667
Pd2 0.667 0.333 0.167
Pt1 0.333 0.667 0.331
Pt2 0.667 0.333 0.831

[3]
Theoretical powder XRD pattern of Cu4Ag3 for Cu Kα (weighted mean of Kα1 and Kα2), from a cell relaxed with GGA-PBE.
Kinematic intensities with the Lorentz-polarization factor, no thermal factor.

Top 10 peaks for 10 to 90 degrees two-theta, most intense first:
2.244 Å, intensity 1000; 1.963 Å, intensity 452; 2.212 Å, intensity 319; 1.886 Å, intensity 172; 1.180 Å, intensity 150; 1.367 Å, intensity 111; 1.353 Å, intensity 108; 1.122 Å, intensity 87; 1.185 Å, intensity 76; 1.171 Å, intensity 73

Structure:
Unit cell a=9.052 b=2.790 c=8.074 alpha=90.00 beta=93.74 gamma=90.00
Element x y z (fractional)
Cu1 0.000 0.000 0.000
Cu2 0.063 0.500 0.279
Cu3 0.204 0.500 0.866
Cu4 0.413 0.000 0.748
Cu5 0.500 0.500 0.000
Cu6 0.563 0.000 0.279
Cu7 0.704 0.000 0.866
Cu8 0.913 0.500 0.748
Ag1 0.128 0.000 0.593
Ag2 0.281 0.000 0.138
Ag3 0.352 0.500 0.440
Ag4 0.628 0.500 0.593
Ag5 0.781 0.500 0.138
Ag6 0.852 0.000 0.440